Theoretical powder X-ray diffraction pattern
Compound: In2NiW
Radiation: Cu Ka
Structure: a PBE-relaxed structure

Structure:
abc: 3.0077 3.0077 27.8166
angles: 90.00 90.00 120.00
Space group R3m (No. 160, hexagonal axes)
One atom of each set of equivalent atoms:
In1 0.0000 0.0000 0.0000 (multiplicity 3)
In2 0.0000 0.0000 0.2344 (multiplicity 3)
Ni1 0.0000 0.0000 0.7444 (multiplicity 3)
W1 0.0000 0.0000 0.4797 (multiplicity 3)

Main lines, low angle first (10 to 90 degrees two-theta):
28.9 deg, d 3.091, I 12.7; 36.8 deg, d 2.439, I 100.0; 38.9 deg, d 2.318, I 19.8; 43.4 deg, d 2.085, I 54.8; 55.6 deg, d 1.653, I 9.7; 61.7 deg, d 1.504, I 22.6; 64.4 deg, d 1.446, I 9.1; 74.1 deg, d 1.280, I 12.5; 75.3 deg, d 1.262, I 16.4; 78.4 deg, d 1.220, I 9.3